Structure and theoretical XRD peak list of K2Tl5Rh (a cell relaxed with PBE; a wavelength of 1.5418 Å).

Peak list (12 most intense, 2θ from 10° to 90°, sorted by position)
2θ/deg, I/Imax
14.3, 57
15.0, 34
28.8, 20
30.2, 100
37.7, 40
39.5, 37
40.5, 18
48.1, 19
51.9, 15
54.4, 14
63.5, 24
69.3, 14

Structural model:
```
K2Tl5Rh
1.0
-3.3719 3.3719 6.2004
3.3719 -3.3719 6.2004
3.3719 3.3719 -6.2004
K Tl Rh
2 5 1
direct
0.0000 0.5000 0.5000 K
0.5000 0.0000 0.5000 K
0.0216 0.0216 0.5135 Tl
0.0216 0.5081 0.0000 Tl
0.0798 0.0798 0.0000 Tl
0.5081 0.0216 0.0000 Tl
0.5081 0.5081 0.4865 Tl
0.8628 0.8628 0.0000 Rh
```